For U, a cell relaxed with GGA-PBE gives the theoretical powder diffractogram in this record (λ = 1.5418 Å (Cu Kα)).

Cell and atoms:
Unit cell a=6.6077 b=4.8906 c=5.0978 alpha=90.00 beta=90.00 gamma=90.00
Space group Pnma (No. 62)
Unique sites:
U: 0.0455 0.2500 0.2002 [4 per cell]
U: 0.2072 0.7500 0.3142 [4 per cell]

Main lines, sorted by position (10° ≤ 2θ ≤ 90°):
h k l, two_theta, I/Imax
2 0 1, 32.29, 28.1
0 0 2, 35.21, 26.0
0 2 0, 36.75, 41.1
2 1 1, 37.28, 100.0
0 2 2, 51.81, 17.8
2 3 1, 66.54, 19.5

***

For Ba4RuN4, a cell relaxed with GGA-PBE gives the theoretical powder diffractogram in this record (λ = 1.5418 Å (Cu Kα)).

Cell and atoms:
Unit cell a=7.0284 b=7.0895 c=9.2746 alpha=74.17 beta=82.44 gamma=64.17
Space group P-1 (No. 2)
Unique sites:
Ba: 0.1800 0.3885 0.3684 [2 per cell]
Ba: 0.2266 0.9345 0.1304 [2 per cell]
Ba: 0.2676 0.4774 0.9384 [2 per cell]
Ba: 0.2905 0.7818 0.5377 [2 per cell]
Ru: 0.2426 0.1374 0.7508 [2 per cell]
N: 0.0294 0.2734 0.8975 [2 per cell]
N: 0.0306 0.1659 0.6171 [2 per cell]
N: 0.3281 0.3649 0.6507 [2 per cell]
N: 0.4452 0.8650 0.8316 [2 per cell]

Main lines, sorted by position (10° ≤ 2θ ≤ 90°):
h k l, two_theta, I/Imax
0 1 -2, 27.31, 23.8
1 1 -2, 28.00, 38.5
2 0 0, 28.18, 100.0
2 2 1, 30.01, 71.6
1 1 3, 30.30, 25.9
1 -1 2, 33.43, 33.7

***

For B5W2, a cell relaxed with GGA-PBE gives the theoretical powder diffractogram in this record (λ = 1.5418 Å (Cu Kα)).

Cell and atoms:
Unit cell a=3.0992 b=3.0992 c=21.4679 alpha=90.00 beta=90.00 gamma=120.00
Space group R-3m (No. 166, hexagonal axes)
Unique sites:
B: 0.0000 0.0000 0.0000 [3 per cell]
B: 0.0000 0.0000 0.1689 [6 per cell]
B: 0.0000 0.0000 0.3149 [6 per cell]
W: 0.0000 0.0000 0.4236 [6 per cell]

Main lines, sorted by position (10° ≤ 2θ ≤ 90°):
h k l, two_theta, I/Imax
0 0 6, 24.89, 69.9
1 0 1, 33.65, 100.0
0 1 2, 34.44, 37.2
0 1 5, 39.60, 48.4
1 0 7, 44.88, 64.3
0 1 8, 47.94, 33.0

***

For PuZn2, a cell relaxed with GGA-PBE gives the theoretical powder diffractogram in this record (λ = 1.5418 Å (Cu Kα)).

Cell and atoms:
Unit cell a=7.7143 b=7.7143 c=7.7143 alpha=90.00 beta=90.00 gamma=90.00
Space group Fd-3m (No. 227, origin choice 2)
Unique sites:
Pu: 0.1250 0.1250 0.1250 [8 per cell]
Zn: 0.0000 0.0000 0.5000 [16 per cell]

Main lines, sorted by position (10° ≤ 2θ ≤ 90°):
h k l, two_theta, I/Imax
1 1 1, 19.93, 26.3
2 2 0, 32.84, 75.4
3 1 1, 38.71, 100.0
4 2 2, 58.62, 30.1
5 1 1, 62.57, 32.8
4 4 0, 68.85, 23.1

***

For Mg3Np, a cell relaxed with GGA-PBE gives the theoretical powder diffractogram in this record (λ = 1.5418 Å (Cu Kα)).

Cell and atoms:
Unit cell a=7.3293 b=7.3293 c=7.3293 alpha=90.00 beta=90.00 gamma=90.00
Space group Fm-3m (No. 225)
Unique sites:
Mg: 0.0000 0.0000 0.0000 [4 per cell]
Mg: 0.2500 0.2500 0.2500 [8 per cell]
Np: 0.0000 0.0000 0.5000 [4 per cell]

Main lines, sorted by position (10° ≤ 2θ ≤ 90°):
h k l, two_theta, I/Imax
1 1 1, 20.99, 100.0
2 0 0, 24.29, 53.3
2 2 0, 34.62, 99.8
3 1 1, 40.83, 56.9
3 3 1, 54.58, 25.2
4 2 2, 62.03, 37.4